Computed powder diffraction line list
Compound: MgTa2Te4Br10O
Radiation: CuKα
Structure: a DFT-relaxed cell (GGA-PBE, Alexandria)
No peak broadening, texture or thermal motion is included.

Principal peaks in the range 10 to 80 degrees two-theta, sorted by position:
| d (Å) | Position (°2θ) | I/Imax | h k l |
| --- | --- | --- | --- |
| 6.401 | 13.8 | 100 | 1 0 -1 |
| 5.921 | 15.0 | 22 | 0 1 1 |
| 5.403 | 16.4 | 28 | 1 1 0 |
| 5.098 | 17.4 | 16 | 0 1 -2 |
| 3.955 | 22.5 | 16 | 0 2 -2 |
| 3.345 | 26.7 | 15 | 2 1 0 |
| 3.024 | 29.5 | 16 | 2 1 1 |
| 2.981 | 30.0 | 20 | 1 -2 3 |
| 2.955 | 30.2 | 19 | 0 3 0 |
| 2.913 | 30.7 | 18 | -1 2 2 |
| 2.474 | 36.3 | 17 | 2 2 1 |
| 2.175 | 41.5 | 14 | -2 2 3 |

Structural model:
Lattice parameters (Å, degrees): 7.823 9.358 10.661 106.14 91.94 98.41
Space group P1 (No. 1)
Symmetry-distinct sites (fractional):
Mg: 0.000 0.000 0.000 [1 per cell]
Ta: 0.063 0.386 0.112 [1 per cell]
Ta: 0.937 0.613 0.888 [1 per cell]
Te: 0.369 0.905 0.329 [1 per cell]
Te: 0.449 0.198 0.498 [1 per cell]
Te: 0.549 0.801 0.502 [1 per cell]
Te: 0.629 0.093 0.671 [1 per cell]
Br: 0.066 0.476 0.693 [1 per cell]
Br: 0.136 0.181 0.235 [1 per cell]
Br: 0.189 0.207 0.911 [1 per cell]
Br: 0.228 0.808 0.965 [1 per cell]
Br: 0.363 0.532 0.181 [1 per cell]
Br: 0.637 0.467 0.819 [1 per cell]
Br: 0.772 0.192 0.034 [1 per cell]
Br: 0.811 0.793 0.088 [1 per cell]
Br: 0.865 0.819 0.764 [1 per cell]
Br: 0.934 0.524 0.307 [1 per cell]
O: 0.000 0.500 0.000 [1 per cell]